(1)
Diffraction record for Pr2PaP3. The PXRD pattern is simulated, not measured: it uses a PBE-relaxed structure and Cu Kα X-rays.

Atomic structure:
```
data_Pr2PaP3
_chemical_formula_sum 'Pr32 Pa16 P48'
_cell_length_a 8.242
_cell_length_b 11.640
_cell_length_c 24.656
_cell_angle_alpha 90.00
_cell_angle_beta 90.00
_cell_angle_gamma 90.00
_symmetry_space_group_name_H-M 'F d d d'
_symmetry_Int_Tables_number 70
loop_
_symmetry_equiv_pos_as_xyz
'x,y,z'
'-x,-y,-z'
'-x+1/4,-y+1/4,z'
'x+1/4,y+1/4,-z'
'x,-y+1/4,-z+1/4'
'-x,y+1/4,z+1/4'
'-x+1/4,y,-z+1/4'
'x+1/4,-y,z+1/4'
'x,y+1/2,z+1/2'
'-x,-y+1/2,-z+1/2'
'-x+1/4,-y+3/4,z+1/2'
'x+1/4,y+3/4,-z+1/2'
'x,-y+3/4,-z+3/4'
'-x,y+3/4,z+3/4'
'-x+1/4,y+1/2,-z+3/4'
'x+1/4,-y+1/2,z+3/4'
'x+1/2,y,z+1/2'
'-x+1/2,-y,-z+1/2'
'-x+3/4,-y+1/4,z+1/2'
'x+3/4,y+1/4,-z+1/2'
'x+1/2,-y+1/4,-z+3/4'
'-x+1/2,y+1/4,z+3/4'
'-x+3/4,y,-z+3/4'
'x+3/4,-y,z+3/4'
'x+1/2,y+1/2,z'
'-x+1/2,-y+1/2,-z'
'-x+3/4,-y+3/4,z'
'x+3/4,y+3/4,-z'
'x+1/2,-y+3/4,-z+1/4'
'-x+1/2,y+3/4,z+1/4'
'-x+3/4,y+1/2,-z+1/4'
'x+3/4,-y+1/2,z+1/4'
loop_
_atom_site_label
_atom_site_fract_x
_atom_site_fract_y
_atom_site_fract_z
Pr1 0.125 0.125 0.043
Pr2 0.125 0.125 0.373
Pa1 0.125 0.125 0.541
P1 0.108 0.375 0.875
P2 0.117 0.367 0.712
```

Top 10 peaks for 2θ = 10–90°, low angle first:
2θ (°)	I_rel	h k l
26.53	91.6	2 2 0
30.72	100.0	0 4 0
43.99	61.5	2 4 6
44.07	12.2	0 0 12
52.12	46.2	4 2 6
54.57	13.0	4 4 0
54.68	12.9	0 4 12
72.63	27.5	2 8 6
80.84	12.4	4 8 0
81.00	12.4	0 8 12

=====

(2)
Diffraction record for TaTi2Zn2Pt2. The PXRD pattern is simulated, not measured: it uses a PBE-relaxed structure and Cu Kα X-rays.

Atomic structure:
```
data_TaTi2Zn2Pt2
_chemical_formula_sum 'Ta2 Ti4 Zn4 Pt4'
_cell_length_a 7.665
_cell_length_b 4.437
_cell_length_c 7.339
_cell_angle_alpha 90.00
_cell_angle_beta 110.35
_cell_angle_gamma 90.00
_symmetry_space_group_name_H-M 'C 1 2/m 1'
_symmetry_Int_Tables_number 12
loop_
_symmetry_equiv_pos_as_xyz
'x,y,z'
'-x,-y,-z'
'-x,y,-z'
'x,-y,z'
'x+1/2,y+1/2,z'
'-x+1/2,-y+1/2,-z'
'-x+1/2,y+1/2,-z'
'x+1/2,-y+1/2,z'
loop_
_atom_site_label
_atom_site_fract_x
_atom_site_fract_y
_atom_site_fract_z
Ta1 0.000 0.000 0.000
Ti1 0.107 0.500 0.818
Zn1 0.135 0.000 0.406
Pt1 0.239 0.500 0.218
```

Top 10 peaks for 2θ = 10–90°, low angle first:
2θ (°)	I_rel	h k l
12.87	26.5	0 0 1
23.58	19.0	2 0 -1
24.75	22.1	2 0 0
29.00	40.3	2 0 -2
38.50	44.1	1 1 2
40.73	100.0	0 2 0
42.20	67.0	2 0 2
60.06	15.7	2 2 2
75.18	16.1	5 1 1
82.52	20.6	3 1 4

=====

(3)
Diffraction record for Al2Ru. The PXRD pattern is simulated, not measured: it uses a PBE-relaxed structure and Cu Kα X-rays.

Atomic structure:
```
data_Al2Ru
_chemical_formula_sum 'Al16 Ru8'
_cell_length_a 4.736
_cell_length_b 8.050
_cell_length_c 8.837
_cell_angle_alpha 90.00
_cell_angle_beta 90.00
_cell_angle_gamma 90.00
_symmetry_space_group_name_H-M 'F d d d'
_symmetry_Int_Tables_number 70
loop_
_symmetry_equiv_pos_as_xyz
'x,y,z'
'-x,-y,-z'
'-x+1/4,-y+1/4,z'
'x+1/4,y+1/4,-z'
'x,-y+1/4,-z+1/4'
'-x,y+1/4,z+1/4'
'-x+1/4,y,-z+1/4'
'x+1/4,-y,z+1/4'
'x,y+1/2,z+1/2'
'-x,-y+1/2,-z+1/2'
'-x+1/4,-y+3/4,z+1/2'
'x+1/4,y+3/4,-z+1/2'
'x,-y+3/4,-z+3/4'
'-x,y+3/4,z+3/4'
'-x+1/4,y+1/2,-z+3/4'
'x+1/4,-y+1/2,z+3/4'
'x+1/2,y,z+1/2'
'-x+1/2,-y,-z+1/2'
'-x+3/4,-y+1/4,z+1/2'
'x+3/4,y+1/4,-z+1/2'
'x+1/2,-y+1/4,-z+3/4'
'-x+1/2,y+1/4,z+3/4'
'-x+3/4,y,-z+3/4'
'x+3/4,-y,z+3/4'
'x+1/2,y+1/2,z'
'-x+1/2,-y+1/2,-z'
'-x+3/4,-y+3/4,z'
'x+3/4,y+3/4,-z'
'x+1/2,-y+3/4,-z+1/4'
'-x+1/2,y+3/4,z+1/4'
'-x+3/4,y+1/2,-z+1/4'
'x+3/4,-y+1/2,z+1/4'
loop_
_atom_site_label
_atom_site_fract_x
_atom_site_fract_y
_atom_site_fract_z
Al1 0.125 0.296 0.125
Ru1 0.125 0.125 0.625
```

Top 10 peaks for 2θ = 10–90°, low angle first:
2θ (°)	I_rel	h k l
24.01	93.9	1 1 1
30.03	48.2	0 2 2
37.66	28.8	1 1 3
39.94	100.0	1 3 1
40.84	47.0	0 0 4
43.35	79.0	2 0 2
44.38	16.3	2 2 0
49.84	52.0	1 3 3
66.33	21.7	1 3 5
69.95	18.5	3 3 1

=====

(4)
Diffraction record for Zn13Ni2. The PXRD pattern is simulated, not measured: it uses a PBE-relaxed structure and Cu Kα X-rays.

Atomic structure:
```
data_Zn13Ni2
_chemical_formula_sum 'Zn13 Ni2'
_cell_length_a 4.656
_cell_length_b 6.951
_cell_length_c 7.142
_cell_angle_alpha 104.86
_cell_angle_beta 103.01
_cell_angle_gamma 91.28
_symmetry_space_group_name_H-M 'P -1'
_symmetry_Int_Tables_number 2
loop_
_symmetry_equiv_pos_as_xyz
'x,y,z'
'-x,-y,-z'
loop_
_atom_site_label
_atom_site_fract_x
_atom_site_fract_y
_atom_site_fract_z
Zn1 0.000 0.000 0.000
Zn2 0.154 0.730 0.481
Zn3 0.198 0.641 0.097
Zn4 0.256 0.128 0.756
Zn5 0.291 0.068 0.379
Zn6 0.377 0.448 0.637
Zn7 0.460 0.795 0.873
Ni1 0.083 0.362 0.254
```

Top 10 peaks for 2θ = 10–90°, low angle first:
2θ (°)	I_rel	h k l
35.62	39.5	-1 2 1
38.89	28.3	2 0 -1
41.52	20.4	1 2 1
42.17	100.0	0 2 -3
42.53	71.5	1 1 2
43.53	65.0	2 1 -2
43.69	53.0	1 -3 0
44.11	63.3	1 3 -1
45.22	59.1	2 -1 1
45.78	47.1	-1 1 3